For KFe2Si2, a PBE-relaxed structure gives the simulated powder diffraction line list in this record (Cu Kα, 1.54184 Å).

Crystal structure
```
10
Lattice="4.037 0.000 0.000 0.000 4.037 0.000 0.000 0.000 9.819" Properties=species:S:1:pos:R:3 pbc="T T T"
K 0.000 0.000 0.000
K 2.018 2.018 4.910
Fe 0.000 0.000 3.725
Fe 0.000 0.000 6.094
Fe 2.018 2.018 1.184
Fe 2.018 2.018 8.635
Si 0.000 2.018 2.455
Si 0.000 2.018 7.364
Si 2.018 0.000 2.455
Si 2.018 0.000 7.364
```

Largest 10 diffraction maxima, in order of falling intensity, 10° ≤ 2θ ≤ 90°:
2θ 35.30, intensity 100.0, hkl 1 0 3
2θ 44.91, intensity 82.4, hkl 2 0 0
2θ 36.41, intensity 72.4, hkl 1 1 2
2θ 31.34, intensity 52.7, hkl 1 1 0
2θ 48.94, intensity 50.0, hkl 1 1 4
2θ 23.83, intensity 41.3, hkl 1 0 1
2θ 58.38, intensity 40.6, hkl 2 1 3
2θ 51.77, intensity 40.5, hkl 1 0 5
2θ 70.91, intensity 28.6, hkl 2 1 5
2θ 65.39, intensity 24.6, hkl 2 2 0